For Ac2MgTl2, DFT lattice parameters and positions (GGA-PBE) gives the theoretical powder diffractogram in this record (Cu Ka).
Neutral-atom scattering factors, no anomalous dispersion.

The 10 most intense peaks (2θ from 15° to 90°), in order of rising 2θ:
| Position (°2θ) | intensity |
| --- | --- |
| 22.63 | 16 |
| 28.04 | 47 |
| 28.59 | 100 |
| 28.72 | 30 |
| 30.99 | 33 |
| 34.55 | 46 |
| 35.57 | 36 |
| 46.34 | 17 |
| 54.79 | 17 |
| 59.68 | 16 |

Crystal structure
```
Ac2MgTl2
1.0
6.2224 -2.5241 0.0000
6.2224 2.5241 0.0000
-5.7999 0.0000 10.6179
Ac Mg Tl
4 2 4
direct
0.0022 0.0022 0.1717
0.1773 0.1773 0.5975
0.8227 0.8227 0.4025
0.9978 0.9978 0.8283
0.2814 0.2814 0.1376
0.7186 0.7186 0.8624
0.3556 0.3556 0.9272
0.4780 0.4780 0.6224
0.5220 0.5220 0.3776
0.6444 0.6444 0.0728
```

=====

For Ac3MgTl4, DFT lattice parameters and positions (GGA-PBE) gives the theoretical powder diffractogram in this record (Cu Ka).
Neutral-atom scattering factors, no anomalous dispersion.

The 10 most intense peaks (2θ from 15° to 90°), in order of rising 2θ:
| Position (°2θ) | intensity |
| --- | --- |
| 18.27 | 22 |
| 26.41 | 19 |
| 27.18 | 60 |
| 30.49 | 100 |
| 32.32 | 55 |
| 33.56 | 55 |
| 37.10 | 23 |
| 54.53 | 36 |
| 56.06 | 37 |
| 60.37 | 30 |

Crystal structure
```
Ac3MgTl4
1.0
3.9584 0.0000 0.0000
0.0000 7.3660 0.0000
0.0000 0.0000 19.3844
Ac Mg Tl
6 2 8
direct
0.0000 0.0000 0.0000
0.0000 0.5000 0.2287
0.0000 0.5000 0.7713
0.5000 0.0000 0.2713
0.5000 0.0000 0.7287
0.5000 0.5000 0.5000
0.0000 0.0000 0.5000
0.5000 0.5000 0.0000
0.0000 0.2602 0.3811
0.0000 0.2602 0.6189
0.0000 0.7398 0.3811
0.0000 0.7398 0.6189
0.5000 0.2398 0.1189
0.5000 0.2398 0.8811
0.5000 0.7602 0.1189
0.5000 0.7602 0.8811
```

=====

For AcMg3Tl3, DFT lattice parameters and positions (GGA-PBE) gives the theoretical powder diffractogram in this record (Cu Ka).
Neutral-atom scattering factors, no anomalous dispersion.

The 10 most intense peaks (2θ from 15° to 90°), in order of rising 2θ:
| Position (°2θ) | intensity |
| --- | --- |
| 18.25 | 55 |
| 22.40 | 80 |
| 25.93 | 47 |
| 28.30 | 35 |
| 29.05 | 29 |
| 33.89 | 52 |
| 39.33 | 100 |
| 41.55 | 65 |
| 56.83 | 31 |
| 61.86 | 30 |

Crystal structure
```
AcMg3Tl3
1.0
0.0000 6.8731 6.8731
6.8731 0.0000 6.8731
6.8731 6.8731 0.0000
Ac Mg Tl
2 6 6
direct
0.2500 0.2500 0.2500
0.7500 0.7500 0.7500
0.1501 0.1501 0.8499
0.1501 0.8499 0.1501
0.1501 0.8499 0.8499
0.8499 0.1501 0.1501
0.8499 0.1501 0.8499
0.8499 0.8499 0.1501
0.3409 0.3409 0.6591
0.3409 0.6591 0.3409
0.3409 0.6591 0.6591
0.6591 0.3409 0.3409
0.6591 0.3409 0.6591
0.6591 0.6591 0.3409
```